1.
# Hg6S4Br3Cl
Calculated powder XRD pattern, a wavelength of 1.5418 Å. Input: the GGA-PBE geometry in OQMD.
Peak positions follow from Bragg's law for the DFT cell and can differ from measured ones.

Main lines, in order of falling intensity (10 to 90 degrees two-theta):
hkl 4 2 -3, 2θ = 33.04°, I = 1000; hkl 4 2 1, 2θ = 33.25°, I = 990; hkl 0 4 0, 2θ = 38.18°, I = 553; hkl 0 0 3, 2θ = 28.29°, I = 522; hkl 8 4 -2, 2θ = 55.85°, I = 495; hkl 8 0 -2, 2θ = 39.15°, I = 441; hkl 4 2 0, 2θ = 28.76°, I = 383; hkl 4 2 -2, 2θ = 28.64°, I = 371; hkl 0 0 4, 2θ = 38.03°, I = 349; hkl 3 1 1, 2θ = 23.97°, I = 346

Structural model:
Cell: 18.4073 9.4294 10.5606 Å, 90.00 116.34 90.00°
Space group C2/m (No. 12)
Inequivalent atoms, fractional coordinates:
1 Hg 0.0745 0.2297 0.2975 [8 per cell]
2 Hg 0.0748 0.5000 0.7240 [4 per cell]
3 Hg 0.1305 0.2375 0.0039 [8 per cell]
4 Hg 0.2187 0.5000 0.2898 [4 per cell]
5 S 0.0681 0.2418 0.7461 [8 per cell]
6 S 0.1976 0.2428 0.2618 [8 per cell]
7 Br 0.0000 0.0000 0.0000 [2 per cell]
8 Br 0.0000 0.5000 0.0000 [2 per cell]
9 Br 0.1213 0.5000 0.4888 [4 per cell]
10 Br 0.2494 0.5000 0.0028 [4 per cell]
11 Cl 0.1223 0.0000 0.4889 [4 per cell]

2.
# Ho2Br2NCl
Calculated powder XRD pattern, a wavelength of 1.5418 Å. Input: the GGA-PBE geometry in OQMD.
Peak positions follow from Bragg's law for the DFT cell and can differ from measured ones.

Main lines, in order of falling intensity (10 to 90 degrees two-theta):
hkl 2 0 -1, 2θ = 10.38°, I = 1000; hkl 1 1 -2, 2θ = 28.53°, I = 523; hkl 1 1 1, 2θ = 27.07°, I = 360; hkl 6 0 -1, 2θ = 32.24°, I = 353; hkl 1 1 2, 2θ = 32.87°, I = 344; hkl 5 1 1, 2θ = 44.00°, I = 241; hkl 7 1 -3, 2θ = 43.17°, I = 212; hkl 4 0 -4, 2θ = 31.98°, I = 209; hkl 5 1 -3, 2θ = 36.52°, I = 204; hkl 5 1 -2, 2θ = 34.56°, I = 179

Structural model:
Cell: 17.6799 3.8377 11.2440 Å, 90.00 123.88 90.00°
Space group C2/m (No. 12)
Inequivalent atoms, fractional coordinates:
1 Ho 0.0779 0.0000 0.4614 [4 per cell]
2 Ho 0.1334 0.5000 0.7865 [4 per cell]
3 Br 0.0445 0.5000 0.2457 [4 per cell]
4 Br 0.1679 0.0000 0.0184 [4 per cell]
5 N 0.0732 0.0000 0.6555 [4 per cell]
6 Cl 0.2056 0.5000 0.6134 [4 per cell]

3.
# Ho4Br3NCl2
Calculated powder XRD pattern, a wavelength of 1.5418 Å. Input: the GGA-PBE geometry in OQMD.
Peak positions follow from Bragg's law for the DFT cell and can differ from measured ones.

Main lines, in order of falling intensity (10 to 90 degrees two-theta):
hkl 1 1 -2, 2θ = 33.04°, I = 1000; hkl 0 0 1, 2θ = 11.38°, I = 556; hkl 6 0 0, 2θ = 32.74°, I = 432; hkl 2 0 0, 2θ = 10.78°, I = 429; hkl 3 1 1, 2θ = 32.84°, I = 385; hkl 7 1 -2, 2θ = 47.26°, I = 266; hkl 3 1 -1, 2θ = 29.97°, I = 258; hkl 5 1 2, 2θ = 47.15°, I = 250; hkl 4 0 -3, 2θ = 36.43°, I = 230; hkl 2 0 3, 2θ = 38.81°, I = 211

Structural model:
Cell: 16.8800 3.6884 7.9955 Å, 90.00 103.51 90.00°
Space group C2/m (No. 12)
Inequivalent atoms, fractional coordinates:
1 Ho 0.0020 0.0000 0.3020 [4 per cell]
2 Ho 0.1411 0.5000 0.5715 [4 per cell]
3 Br 0.0000 0.5000 0.0000 [2 per cell]
4 Br 0.1684 0.0000 0.8459 [4 per cell]
5 N 0.0000 0.5000 0.5000 [2 per cell]
6 Cl 0.1704 0.0000 0.3392 [4 per cell]

4.
# Ho2Br2NCl
Calculated powder XRD pattern, a wavelength of 1.5418 Å. Input: the GGA-PBE geometry in OQMD.
Peak positions follow from Bragg's law for the DFT cell and can differ from measured ones.

Main lines, in order of falling intensity (10 to 90 degrees two-theta):
hkl 1 1 1, 2θ = 27.29°, I = 1000; hkl 1 1 2, 2θ = 33.23°, I = 724; hkl 1 1 -2, 2θ = 28.54°, I = 609; hkl 6 0 -1, 2θ = 31.29°, I = 517; hkl 7 1 -3, 2θ = 41.50°, I = 451; hkl 5 1 -3, 2θ = 35.34°, I = 408; hkl 5 1 1, 2θ = 44.19°, I = 341; hkl 0 2 0, 2θ = 47.63°, I = 329; hkl 4 0 -4, 2θ = 30.80°, I = 319; hkl 5 1 -2, 2θ = 33.62°, I = 309

Structural model:
Cell: 18.6356 3.8190 11.6143 Å, 90.00 127.27 90.00°
Space group C2/m (No. 12)
Inequivalent atoms, fractional coordinates:
1 Ho 0.0726 0.0000 0.4618 [4 per cell]
2 Ho 0.1388 0.5000 0.7915 [4 per cell]
3 Br 0.0313 0.5000 0.2435 [4 per cell]
4 Br 0.2156 0.5000 0.6258 [4 per cell]
5 N 0.0764 0.0000 0.6568 [4 per cell]
6 Cl 0.1766 0.0000 0.0059 [4 per cell]

5.
# Ho4BrNCl4
Calculated powder XRD pattern, a wavelength of 1.5418 Å. Input: the GGA-PBE geometry in OQMD.
Peak positions follow from Bragg's law for the DFT cell and can differ from measured ones.

Main lines, in order of falling intensity (10 to 90 degrees two-theta):
hkl 1 1 -2, 2θ = 33.36°, I = 1000; hkl 0 0 1, 2θ = 11.49°, I = 947; hkl 6 0 0, 2θ = 33.26°, I = 792; hkl 2 0 0, 2θ = 10.94°, I = 722; hkl 6 0 -3, 2θ = 42.32°, I = 289; hkl 3 1 0, 2θ = 29.56°, I = 282; hkl 5 1 2, 2θ = 47.88°, I = 261; hkl 3 1 -1, 2θ = 30.27°, I = 256; hkl 7 1 -2, 2θ = 47.73°, I = 254; hkl 2 0 3, 2θ = 39.32°, I = 198

Structural model:
Cell: 16.6693 3.6498 7.9353 Å, 90.00 104.01 90.00°
Space group C2/m (No. 12)
Inequivalent atoms, fractional coordinates:
1 Ho 0.0009 0.0000 0.3007 [4 per cell]
2 Ho 0.1433 0.5000 0.5758 [4 per cell]
3 Br 0.0000 0.5000 0.0000 [2 per cell]
4 N 0.0000 0.5000 0.5000 [2 per cell]
5 Cl 0.1646 0.0000 0.8329 [4 per cell]
6 Cl 0.1711 0.0000 0.3376 [4 per cell]

6.
# SmHoBr2NCl
Calculated powder XRD pattern, a wavelength of 1.5418 Å. Input: the GGA-PBE geometry in OQMD.
Peak positions follow from Bragg's law for the DFT cell and can differ from measured ones.

Main lines, in order of falling intensity (10 to 90 degrees two-theta):
hkl 2 0 -1, 2θ = 10.37°, I = 1000; hkl 1 1 1, 2θ = 26.70°, I = 487; hkl 1 1 2, 2θ = 32.42°, I = 402; hkl 4 0 -4, 2θ = 31.44°, I = 305; hkl 6 0 -1, 2θ = 32.55°, I = 304; hkl 1 1 -2, 2θ = 28.03°, I = 262; hkl 5 1 -2, 2θ = 34.38°, I = 222; hkl 5 1 -3, 2θ = 36.15°, I = 194; hkl 0 2 0, 2θ = 46.58°, I = 170; hkl 5 1 1, 2θ = 43.91°, I = 159

Structural model:
Cell: 17.5824 3.8997 11.4513 Å, 90.00 124.05 90.00°
Space group C2/m (No. 12)
Inequivalent atoms, fractional coordinates:
1 Sm 0.0794 0.0000 0.4561 [4 per cell]
2 Ho 0.1370 0.5000 0.7851 [4 per cell]
3 Br 0.1645 0.0000 0.0081 [4 per cell]
4 Br 0.2271 0.5000 0.6241 [4 per cell]
5 N 0.0784 0.0000 0.6563 [4 per cell]
6 Cl 0.0339 0.5000 0.2530 [4 per cell]

7.
# YHoBrNCl2
Calculated powder XRD pattern, a wavelength of 1.5418 Å. Input: the GGA-PBE geometry in OQMD.
Peak positions follow from Bragg's law for the DFT cell and can differ from measured ones.

Main lines, in order of falling intensity (10 to 90 degrees two-theta):
hkl 2 0 -1, 2θ = 10.14°, I = 1000; hkl 1 1 1, 2θ = 27.34°, I = 428; hkl 1 1 2, 2θ = 33.29°, I = 263; hkl 0 2 0, 2θ = 47.64°, I = 225; hkl 4 0 -3, 2θ = 24.60°, I = 198; hkl 6 0 -1, 2θ = 32.20°, I = 183; hkl 1 1 -2, 2θ = 28.65°, I = 173; hkl 4 0 -4, 2θ = 31.48°, I = 170; hkl 5 1 1, 2θ = 44.66°, I = 168; hkl 5 1 -2, 2θ = 34.28°, I = 148

Structural model:
Cell: 17.9834 3.8174 11.3857 Å, 90.00 126.08 90.00°
Space group C2/m (No. 12)
Inequivalent atoms, fractional coordinates:
1 Y 0.0747 0.0000 0.4572 [4 per cell]
2 Ho 0.1403 0.5000 0.7915 [4 per cell]
3 Br 0.2222 0.5000 0.6225 [4 per cell]
4 N 0.0788 0.0000 0.6573 [4 per cell]
5 Cl 0.0296 0.5000 0.2523 [4 per cell]
6 Cl 0.1725 0.0000 0.0055 [4 per cell]

8.
# YHoBrNCl2
Calculated powder XRD pattern, a wavelength of 1.5418 Å. Input: the GGA-PBE geometry in OQMD.
Peak positions follow from Bragg's law for the DFT cell and can differ from measured ones.

Main lines, in order of falling intensity (10 to 90 degrees two-theta):
hkl 2 0 -1, 2θ = 10.51°, I = 1000; hkl 1 1 1, 2θ = 27.23°, I = 808; hkl 1 1 2, 2θ = 33.20°, I = 799; hkl 1 1 -2, 2θ = 28.73°, I = 775; hkl 6 0 -1, 2θ = 32.67°, I = 593; hkl 5 1 -3, 2θ = 36.83°, I = 503; hkl 2 0 0, 2θ = 12.23°, I = 491; hkl 5 1 1, 2θ = 44.53°, I = 425; hkl 4 0 -1, 2θ = 20.74°, I = 377; hkl 5 1 -2, 2θ = 34.82°, I = 370

Structural model:
Cell: 17.4729 3.8303 11.0734 Å, 90.00 124.06 90.00°
Space group C2/m (No. 12)
Inequivalent atoms, fractional coordinates:
1 Y 0.1366 0.0000 0.2934 [4 per cell]
2 Ho 0.0787 0.5000 0.9604 [4 per cell]
3 Br 0.0436 0.0000 0.7393 [4 per cell]
4 N 0.0742 0.5000 0.1573 [4 per cell]
5 Cl 0.1729 0.5000 0.5142 [4 per cell]
6 Cl 0.2090 0.0000 0.1153 [4 per cell]